Computed PXRD pattern
Compound: Pr3Er3Th
Radiation: Cu Kα
Structure: a structure optimized by DFT (GGA-PBE)
Peak positions follow from Bragg's law for the DFT cell and can differ from measured ones.

Crystal structure
a b c (Å): 11.421 3.592 11.714
angles (deg): 90.00 93.23 90.00
Element x y z (fractional)
Pr (0.030, 0.250, 0.365)
Pr (0.050, 0.250, 0.887)
Pr (0.441, 0.250, 0.883)
Pr (0.559, 0.750, 0.117)
Pr (0.950, 0.750, 0.113)
Pr (0.970, 0.750, 0.635)
Er (0.232, 0.250, 0.658)
Er (0.261, 0.250, 0.149)
Er (0.277, 0.750, 0.413)
Er (0.723, 0.250, 0.587)
Er (0.739, 0.750, 0.851)
Er (0.768, 0.750, 0.342)
Th (0.485, 0.750, 0.630)
Th (0.515, 0.250, 0.370)

Main lines, in order of rising 2θ (2θ from 10° to 90°):
hkl	2θ/deg	I_rel
1 1 -1	26.99	12
3 0 -2	27.25	12
3 0 2	28.72	13
2 1 -1	30.16	13
0 0 4	30.58	48
4 0 0	31.38	30
3 0 -3	31.94	12
2 1 -2	32.79	100
2 1 2	33.64	79
4 0 -3	38.06	11
0 2 0	50.84	16
0 2 4	60.50	14